Record 1
Na2Sm2NpO6: calculated XRD peak list (Cu Kα (λ = 1.5418 Å)), based on DFT lattice parameters and positions (PBE).
Neutral-atom scattering factors, no anomalous dispersion.

Atomic structure:
```
Na2Sm2NpO6
1.0
3.061 -5.313 0.000
3.061 5.313 0.000
-1.861 0.000 5.637
Na Sm Np O
2 2 1 6
Direct
0.165 0.835 0.000
0.835 0.165 0.000
0.334 0.666 0.500
0.666 0.334 0.500
0.000 0.000 0.500
0.048 0.383 0.700
0.242 0.242 0.302
0.383 0.048 0.700
0.617 0.952 0.300
0.758 0.758 0.698
0.952 0.617 0.300
```

Top 8 peaks for 10° ≤ 2θ ≤ 90°, most intense first:
Position (°2θ)	I_rel
15.72	100.0
35.91	45.1
29.53	36.8
31.19	33.6
51.74	22.7
36.81	21.1
31.75	18.5
29.85	18.5

Record 2
Na9TlAg4: calculated XRD peak list (Cu Kα (λ = 1.5418 Å)), based on DFT lattice parameters and positions (PBE).
Neutral-atom scattering factors, no anomalous dispersion.

Atomic structure:
```
Na9TlAg4
1.0
9.842 0.000 0.000
-4.921 8.523 0.000
0.000 0.000 9.284
Na Tl Ag
18 2 8
Direct
0.078 0.539 0.250
0.185 0.370 0.555
0.185 0.370 0.945
0.185 0.815 0.555
0.185 0.815 0.945
0.370 0.185 0.055
0.370 0.185 0.445
0.461 0.539 0.250
0.461 0.922 0.250
0.539 0.078 0.750
0.539 0.461 0.750
0.630 0.815 0.555
0.630 0.815 0.945
0.815 0.185 0.055
0.815 0.185 0.445
0.815 0.630 0.055
0.815 0.630 0.445
0.922 0.461 0.750
0.333 0.667 0.750
0.667 0.333 0.250
0.000 0.000 0.000
0.000 0.000 0.500
0.103 0.206 0.250
0.103 0.897 0.250
0.206 0.103 0.750
0.794 0.897 0.250
0.897 0.103 0.750
0.897 0.794 0.750
```

Top 8 peaks for 10° ≤ 2θ ≤ 90°, most intense first:
Position (°2θ)	I_rel
10.38	100.0
33.87	92.8
22.96	65.1
18.03	57.0
39.33	56.5
35.86	47.4
14.11	46.1
32.97	42.8